No. 1
Structure and theoretical powder X-ray diffraction pattern of Cs2Zn3Sn2S8 (DFT lattice parameters and positions (GGA-PBE); Cu Kα).

Most intense lines, 10 to 80 degrees two-theta, low angle first:
21.8 deg, intensity 100, (1 1 0); 23.1 deg, intensity 49, (1 0 -2); 23.9 deg, intensity 65, (1 -2 1); 27.0 deg, intensity 42, (0 2 -2); 28.3 deg, intensity 85, (-1 2 1); 28.4 deg, intensity 55, (2 0 -1); 29.1 deg, intensity 62, (2 -1 1); 33.5 deg, intensity 42, (0 2 -3); 33.9 deg, intensity 46, (1 -1 3); 46.4 deg, intensity 63, (3 0 1)

Structure:
```
data_Cs2Zn3Sn2S8
_chemical_formula_sum 'Cs2 Zn3 Sn2 S8'
_space_group_name_H-M_alt 'P -1'
_space_group_IT_number 2
_cell_length_a 6.7387
_cell_length_b 7.9539
_cell_length_c 8.9740
_cell_angle_alpha 106.21
_cell_angle_beta 94.50
_cell_angle_gamma 108.14
loop_
_space_group_symop_operation_xyz
'x,y,z'
'-x,-y,-z'
loop_
_atom_site_label
_atom_site_fract_x
_atom_site_fract_y
_atom_site_fract_z
Cs1 0.1144 0.4447 0.2448
Zn1 0.3329 0.0522 0.4079
Zn2 0.5000 0.0000 0.0000
Sn1 0.2438 0.1545 0.7597
S1 0.1026 0.8875 0.1716
S2 0.2993 0.8703 0.6064
S3 0.3243 0.3314 0.5825
S4 0.4920 0.2767 0.0101
```

No. 2
Structure and theoretical powder X-ray diffraction pattern of Cs4Zr3S14 (DFT lattice parameters and positions (GGA-PBE); Cu Kα).

Most intense lines, 10 to 80 degrees two-theta, low angle first:
12.2 deg, intensity 27, (1 1 -1); 19.7 deg, intensity 43, (3 1 1); 20.7 deg, intensity 62, (0 2 0); 22.1 deg, intensity 100, (3 1 -3); 24.3 deg, intensity 42, (6 0 -2); 27.4 deg, intensity 56, (0 0 4); 28.0 deg, intensity 61, (2 2 2); 32.1 deg, intensity 39, (8 0 -2); 33.8 deg, intensity 27, (6 0 2); 37.1 deg, intensity 29, (3 3 -3)

Structure:
```
data_Cs4Zr3S14
_chemical_formula_sum 'Cs16 Zr12 S56'
_space_group_name_H-M_alt 'C 1 2/c 1'
_space_group_IT_number 15
_cell_length_a 22.2643
_cell_length_b 8.5918
_cell_length_c 14.1198
_cell_angle_alpha 90.00
_cell_angle_beta 112.50
_cell_angle_gamma 90.00
loop_
_space_group_symop_operation_xyz
'x,y,z'
'-x,-y,-z'
'-x,y,-z+1/2'
'x,-y,z+1/2'
'x+1/2,y+1/2,z'
'-x+1/2,-y+1/2,-z'
'-x+1/2,y+1/2,-z+1/2'
'x+1/2,-y+1/2,z+1/2'
loop_
_atom_site_label
_atom_site_fract_x
_atom_site_fract_y
_atom_site_fract_z
Cs1 0.0617 0.2389 0.1430
Cs2 0.2048 0.3179 0.6117
Zr1 0.0000 0.2629 0.7500
Zr2 0.1678 0.2523 0.9143
S1 0.0426 0.3403 0.6103
S2 0.0686 0.0830 0.9136
S3 0.0847 0.4816 0.8690
S4 0.0965 0.1650 0.7097
S5 0.1420 0.0444 0.3908
S6 0.1673 0.4812 0.3351
S7 0.2208 0.2841 0.1009
```

No. 3
Structure and theoretical powder X-ray diffraction pattern of CsTa3Sb5 (DFT lattice parameters and positions (GGA-PBE); Cu Kα).

Most intense lines, 10 to 80 degrees two-theta, low angle first:
20.0 deg, intensity 19, (1 0 1); 26.0 deg, intensity 31, (1 0 2); 30.7 deg, intensity 32, (1 1 0); 35.6 deg, intensity 20, (2 0 0); 36.4 deg, intensity 22, (1 1 2); 37.0 deg, intensity 35, (2 0 1); 38.6 deg, intensity 29, (0 0 4); 40.7 deg, intensity 100, (2 0 2); 64.0 deg, intensity 20, (2 2 0); 77.3 deg, intensity 23, (2 2 4)

Structure:
```
data_CsTa3Sb5
_chemical_formula_sum 'Cs1 Ta3 Sb5'
_space_group_name_H-M_alt 'P 6/m m m'
_space_group_IT_number 191
_space_group_name_Hall '-P 6 2'
_cell_length_a 5.8186
_cell_length_b 5.8186
_cell_length_c 9.3356
_cell_angle_alpha 90.00
_cell_angle_beta 90.00
_cell_angle_gamma 120.00
loop_
_atom_site_label
_atom_site_fract_x
_atom_site_fract_y
_atom_site_fract_z
Cs1 0.0000 0.0000 0.0000
Ta1 0.0000 0.5000 0.5000
Sb1 0.0000 0.0000 0.5000
Sb2 0.3333 0.6667 0.2466
```

No. 4
Structure and theoretical powder X-ray diffraction pattern of CsTmSb (DFT lattice parameters and positions (GGA-PBE); Cu Kα).

Most intense lines, 10 to 80 degrees two-theta, low angle first:
20.2 deg, intensity 37, (1 1 1); 33.2 deg, intensity 100, (2 2 0); 39.2 deg, intensity 21, (3 1 1); 47.7 deg, intensity 18, (4 0 0); 52.3 deg, intensity 9, (3 3 1); 59.4 deg, intensity 37, (4 2 2); 63.4 deg, intensity 7, (5 1 1); 69.8 deg, intensity 12, (4 4 0); 73.5 deg, intensity 7, (5 3 1); 79.5 deg, intensity 16, (6 2 0)

Structure:
```
data_CsTmSb
_chemical_formula_sum 'Cs4 Tm4 Sb4'
_space_group_name_H-M_alt 'F -4 3 m'
_space_group_IT_number 216
_space_group_name_Hall 'F -4 2 3'
_cell_length_a 7.6234
_cell_length_b 7.6234
_cell_length_c 7.6234
_cell_angle_alpha 90.00
_cell_angle_beta 90.00
_cell_angle_gamma 90.00
loop_
_atom_site_label
_atom_site_fract_x
_atom_site_fract_y
_atom_site_fract_z
Cs1 0.0000 0.0000 0.0000
Tm1 0.2500 0.2500 0.2500
Sb1 0.0000 0.0000 0.5000
```

No. 5
Structure and theoretical powder X-ray diffraction pattern of CsSb5W3 (DFT lattice parameters and positions (GGA-PBE); Cu Kα).

Most intense lines, 10 to 80 degrees two-theta, low angle first:
20.3 deg, intensity 24, (1 0 1); 25.8 deg, intensity 32, (1 0 2); 31.6 deg, intensity 30, (1 1 0); 36.7 deg, intensity 42, (2 0 0); 37.0 deg, intensity 34, (0 0 4); 37.9 deg, intensity 32, (2 0 1); 41.3 deg, intensity 100, (2 0 2); 46.5 deg, intensity 23, (2 0 3); 69.5 deg, intensity 21, (2 0 6); 78.2 deg, intensity 23, (2 2 4)

Structure:
```
data_CsSb5W3
_chemical_formula_sum 'Cs1 Sb5 W3'
_space_group_name_H-M_alt 'P 6/m m m'
_space_group_IT_number 191
_space_group_name_Hall '-P 6 2'
_cell_length_a 5.6574
_cell_length_b 5.6574
_cell_length_c 9.7290
_cell_angle_alpha 90.00
_cell_angle_beta 90.00
_cell_angle_gamma 120.00
loop_
_atom_site_label
_atom_site_fract_x
_atom_site_fract_y
_atom_site_fract_z
Cs1 0.0000 0.0000 0.0000
Sb1 0.0000 0.0000 0.5000
Sb2 0.3333 0.6667 0.2597
W1 0.0000 0.5000 0.5000
```

No. 6
Structure and theoretical powder X-ray diffraction pattern of Cs4SiTcSe6 (DFT lattice parameters and positions (GGA-PBE); Cu Kα).

Most intense lines, 10 to 80 degrees two-theta, low angle first:
23.9 deg, intensity 91, (2 1 1); 25.4 deg, intensity 100, (0 2 1); 25.6 deg, intensity 80, (0 1 -2); 29.7 deg, intensity 31, (2 0 2); 30.9 deg, intensity 48, (0 1 3); 31.3 deg, intensity 23, (2 1 -1); 34.9 deg, intensity 20, (2 -1 0); 35.3 deg, intensity 46, (2 3 2); 41.2 deg, intensity 26, (0 3 -1); 48.8 deg, intensity 22, (4 2 2)

Structure:
```
data_Cs4SiTcSe6
_chemical_formula_sum 'Cs4 Si1 Tc1 Se6'
_space_group_name_H-M_alt 'P 1'
_space_group_IT_number 1
_cell_length_a 7.4614
_cell_length_b 8.0743
_cell_length_c 9.6474
_cell_angle_alpha 71.73
_cell_angle_beta 67.74
_cell_angle_gamma 63.13
loop_
_space_group_symop_operation_xyz
'x,y,z'
loop_
_atom_site_label
_atom_site_fract_x
_atom_site_fract_y
_atom_site_fract_z
Cs1 0.0000 0.0000 0.0000
Cs2 0.1689 0.3776 0.2786
Cs3 0.3914 0.7610 0.4662
Cs4 0.7615 0.6398 0.8227
Si1 0.4572 0.2515 0.8280
Tc1 0.7012 0.1415 0.4564
Se1 0.2788 0.5528 0.8714
Se2 0.3639 0.1913 0.6407
Se3 0.4699 0.0251 0.0361
Se4 0.6892 0.3735 0.2393
Se5 0.7925 0.2068 0.6425
Se6 0.8846 0.8305 0.4129
```

No. 7
Structure and theoretical powder X-ray diffraction pattern of CsTmSiSe3 (DFT lattice parameters and positions (GGA-PBE); Cu Kα).

Most intense lines, 10 to 80 degrees two-theta, low angle first:
10.7 deg, intensity 58, (0 2 0); 18.6 deg, intensity 66, (0 2 2); 27.6 deg, intensity 100, (1 3 0); 28.6 deg, intensity 28, (1 3 1); 30.7 deg, intensity 65, (0 0 4); 32.6 deg, intensity 28, (1 1 3); 35.3 deg, intensity 29, (1 5 0); 38.6 deg, intensity 45, (1 5 2); 41.7 deg, intensity 61, (1 3 4); 45.3 deg, intensity 26, (2 0 0)

Structure:
```
data_CsTmSiSe3
_chemical_formula_sum 'Cs4 Tm4 Si4 Se12'
_space_group_name_H-M_alt 'C m c m'
_space_group_IT_number 63
_space_group_name_Hall '-C 2c 2'
_cell_length_a 4.0028
_cell_length_b 16.4608
_cell_length_c 11.6674
_cell_angle_alpha 90.00
_cell_angle_beta 90.00
_cell_angle_gamma 90.00
loop_
_atom_site_label
_atom_site_fract_x
_atom_site_fract_y
_atom_site_fract_z
Cs1 0.0000 0.2217 0.2500
Tm1 0.0000 0.5000 0.0000
Si1 0.0000 0.0940 0.7500
Se1 0.0000 0.1176 0.5215
Se2 0.0000 0.4962 0.7500
```

No. 8
Structure and theoretical powder X-ray diffraction pattern of CsTaSe3 (DFT lattice parameters and positions (GGA-PBE); Cu Kα).

Most intense lines, 10 to 80 degrees two-theta, low angle first:
13.2 deg, intensity 47, (0 2 0); 13.3 deg, intensity 95, (1 1 0); 23.0 deg, intensity 48, (1 3 0); 30.4 deg, intensity 51, (0 4 1); 30.6 deg, intensity 100, (2 2 1); 32.2 deg, intensity 42, (0 2 2); 39.9 deg, intensity 25, (0 4 2); 40.0 deg, intensity 53, (2 2 2); 46.6 deg, intensity 37, (1 5 2); 47.0 deg, intensity 35, (2 6 0)

Structure:
```
data_CsTaSe3
_chemical_formula_sum 'Cs4 Ta4 Se12'
_space_group_name_H-M_alt 'C 2 2 21'
_space_group_IT_number 20
_cell_length_a 7.6739
_cell_length_b 13.4276
_cell_length_c 6.1116
_cell_angle_alpha 90.00
_cell_angle_beta 90.00
_cell_angle_gamma 90.00
loop_
_space_group_symop_operation_xyz
'x,y,z'
'-x,-y,z+1/2'
'x,-y,-z'
'-x,y,-z+1/2'
'x+1/2,y+1/2,z'
'-x+1/2,-y+1/2,z+1/2'
'x+1/2,-y+1/2,-z'
'-x+1/2,y+1/2,-z+1/2'
loop_
_atom_site_label
_atom_site_fract_x
_atom_site_fract_y
_atom_site_fract_z
Cs1 0.0000 0.1755 0.2500
Ta1 0.0460 0.5000 0.0000
Se1 0.0000 0.3466 0.7500
Se2 0.2395 0.4234 0.2719
```

No. 9
Structure and theoretical powder X-ray diffraction pattern of Cs2TbTmSe4 (DFT lattice parameters and positions (GGA-PBE); Cu Kα).

Most intense lines, 10 to 80 degrees two-theta, low angle first:
10.6 deg, intensity 25, (0 0 2); 21.3 deg, intensity 19, (0 0 4); 26.5 deg, intensity 78, (0 1 2); 29.1 deg, intensity 100, (1 0 3); 32.5 deg, intensity 28, (1 0 4); 40.7 deg, intensity 60, (1 0 6); 42.7 deg, intensity 58, (1 1 0); 52.5 deg, intensity 19, (0 2 3); 60.4 deg, intensity 19, (0 2 6); 76.8 deg, intensity 19, (2 1 6)

Structure:
```
data_Cs2TbTmSe4
_chemical_formula_sum 'Cs2 Tb1 Tm1 Se4'
_space_group_name_H-M_alt 'P -3 m 1'
_space_group_IT_number 164
_space_group_name_Hall '-P 3 2"'
_cell_length_a 4.2375
_cell_length_b 4.2375
_cell_length_c 16.7045
_cell_angle_alpha 90.00
_cell_angle_beta 90.00
_cell_angle_gamma 120.00
loop_
_atom_site_label
_atom_site_fract_x
_atom_site_fract_y
_atom_site_fract_z
Cs1 0.3333 0.6667 0.2486
Tb1 0.0000 0.0000 0.5000
Tm1 0.0000 0.0000 0.0000
Se1 0.3333 0.6667 0.5944
Se2 0.3333 0.6667 0.9089
```

No. 10
Structure and theoretical powder X-ray diffraction pattern of CsTc2Se4 (DFT lattice parameters and positions (GGA-PBE); Cu Kα).

Most intense lines, 10 to 80 degrees two-theta, low angle first:
13.1 deg, intensity 39, (1 1 1); 21.4 deg, intensity 59, (2 2 0); 25.2 deg, intensity 71, (3 1 1); 30.5 deg, intensity 42, (4 0 0); 40.0 deg, intensity 100, (5 1 1); 43.7 deg, intensity 82, (4 4 0); 51.1 deg, intensity 21, (5 3 3); 59.0 deg, intensity 21, (6 4 2); 60.7 deg, intensity 16, (5 5 3); 77.7 deg, intensity 22, (9 3 1)

Structure:
Cell: 11.7204 11.7204 11.7204 Å, 90.00 90.00 90.00°
Space group Fd-3m (No. 227, origin choice 2)
Asymmetric unit:
Cs1 0.1250 0.1250 0.1250
Tc1 0.0000 0.0000 0.5000
Se1 0.0286 0.0286 0.7214

No. 11
Structure and theoretical powder X-ray diffraction pattern of Cs4Tc6Se13 (DFT lattice parameters and positions (GGA-PBE); Cu Kα).

Most intense lines, 10 to 80 degrees two-theta, low angle first:
10.8 deg, intensity 100, (1 1 -1); 12.6 deg, intensity 91, (1 1 1); 25.6 deg, intensity 33, (1 1 -4); 27.8 deg, intensity 36, (2 4 -2); 29.9 deg, intensity 52, (2 2 3); 30.1 deg, intensity 48, (3 3 0); 30.7 deg, intensity 41, (3 3 -2); 31.6 deg, intensity 35, (1 1 -5); 44.1 deg, intensity 36, (4 2 -5); 49.7 deg, intensity 32, (3 5 -6)

Structure:
```
data_Cs4Tc6Se13
_chemical_formula_sum 'Cs16 Tc24 Se52'
_space_group_name_H-M_alt 'C 1 2/c 1'
_space_group_IT_number 15
_cell_length_a 10.4453
_cell_length_b 17.9442
_cell_length_c 14.3658
_cell_angle_alpha 90.00
_cell_angle_beta 101.04
_cell_angle_gamma 90.00
loop_
_space_group_symop_operation_xyz
'x,y,z'
'-x,-y,-z'
'-x,y,-z+1/2'
'x,-y,z+1/2'
'x+1/2,y+1/2,z'
'-x+1/2,-y+1/2,-z'
'-x+1/2,y+1/2,-z+1/2'
'x+1/2,-y+1/2,z+1/2'
loop_
_atom_site_label
_atom_site_fract_x
_atom_site_fract_y
_atom_site_fract_z
Cs1 0.2009 0.0211 0.2814
Cs2 0.2150 0.3793 0.4175
Tc1 0.1354 0.2168 0.0753
Tc2 0.1444 0.2059 0.8933
Tc3 0.1543 0.3394 0.9773
Se1 0.0000 0.1372 0.7500
Se2 0.0108 0.4616 0.9310
Se3 0.0472 0.1838 0.3338
Se4 0.0499 0.2614 0.5534
Se5 0.1302 0.0906 0.9939
Se6 0.1485 0.3437 0.1520
Se7 0.1662 0.3234 0.8044
```

No. 12
Structure and theoretical powder X-ray diffraction pattern of Cs4USe5 (DFT lattice parameters and positions (GGA-PBE); Cu Kα).

Most intense lines, 10 to 80 degrees two-theta, low angle first:
11.4 deg, intensity 28, (1 1 0); 14.7 deg, intensity 31, (1 0 1); 21.8 deg, intensity 61, (2 1 1); 24.7 deg, intensity 62, (0 0 2); 25.6 deg, intensity 100, (1 3 0); 35.8 deg, intensity 82, (1 3 2); 36.5 deg, intensity 35, (4 2 0); 42.9 deg, intensity 45, (5 0 1); 44.5 deg, intensity 31, (4 2 2); 57.6 deg, intensity 32, (6 3 1)

Structure:
```
data_Cs4USe5
_chemical_formula_sum 'Cs8 U2 Se10'
_space_group_name_H-M_alt 'I 4'
_space_group_IT_number 79
_cell_length_a 11.0221
_cell_length_b 11.0221
_cell_length_c 7.2090
_cell_angle_alpha 90.00
_cell_angle_beta 90.00
_cell_angle_gamma 90.00
loop_
_space_group_symop_operation_xyz
'x,y,z'
'-y,x,z'
'-x,-y,z'
'y,-x,z'
'x+1/2,y+1/2,z+1/2'
'-y+1/2,x+1/2,z+1/2'
'-x+1/2,-y+1/2,z+1/2'
'y+1/2,-x+1/2,z+1/2'
loop_
_atom_site_label
_atom_site_fract_x
_atom_site_fract_y
_atom_site_fract_z
Cs1 0.0977 0.2995 0.0000
U1 0.0000 0.0000 0.4666
Se1 0.0000 0.0000 0.1022
Se2 0.0753 0.2290 0.5027
```